1.
For NaPb3S, DFT lattice parameters and positions (PBE) gives the calculated powder diffraction line list in this record (Cu Kα, 1.54184 Å).
Neutral-atom scattering factors, no anomalous dispersion.

Structural model:
Lattice parameters (Å, degrees): 5.6084 5.6084 5.6084 90.00 90.00 90.00
Sites, in units of the cell vectors:
Na 0.0000 0.0000 0.0000
Pb 0.0000 0.5000 0.5000
Pb 0.5000 0.0000 0.5000
Pb 0.5000 0.5000 0.0000
S 0.5000 0.5000 0.5000

Peak list (6 most intense, 5° ≤ 2θ ≤ 70°, by angle)
d/Å  two_theta  Rel. int.
5.608  15.80  35
3.238  27.55  100
2.804  31.91  64
2.508  35.80  19
1.983  45.76  48
1.691  54.25  48


2.
For NaPbS, DFT lattice parameters and positions (PBE) gives the calculated powder diffraction line list in this record (Cu Kα, 1.54184 Å).
Neutral-atom scattering factors, no anomalous dispersion.

Structural model:
Lattice parameters (Å, degrees): 7.9220 7.9220 5.3983 90.00 90.00 90.00
Sites, in units of the cell vectors:
Na 0.0000 0.2220 0.0000
Na 0.0000 0.7780 0.0000
Na 0.2220 0.0000 0.5000
Na 0.7780 0.0000 0.5000
Pb 0.2734 0.5000 0.5000
Pb 0.5000 0.2734 0.0000
Pb 0.5000 0.7266 0.0000
Pb 0.7266 0.5000 0.5000
S 0.0000 0.2790 0.5000
S 0.0000 0.7210 0.5000
S 0.2790 0.0000 0.0000
S 0.7210 0.0000 0.0000

Peak list (6 most intense, 5° ≤ 2θ ≤ 70°, by angle)
d/Å  two_theta  Rel. int.
7.922  11.17  80
4.461  19.90  60
3.194  27.94  100
2.962  30.17  57
2.801  31.95  61
1.944  46.74  43


3.
For Na3Sm2PbS6, DFT lattice parameters and positions (PBE) gives the calculated powder diffraction line list in this record (Cu Kα, 1.54184 Å).
Neutral-atom scattering factors, no anomalous dispersion.

Structural model:
Lattice parameters (Å, degrees): 7.0650 7.0650 7.1236 99.55 99.55 119.96
Sites, in units of the cell vectors:
Na 0.0000 0.0000 0.0000
Na 0.3374 0.6626 0.0000
Na 0.6626 0.3374 0.0000
Sm 0.1670 0.8330 0.5000
Sm 0.8330 0.1670 0.5000
Pb 0.5000 0.5000 0.5000
S 0.0831 0.4215 0.2658
S 0.2391 0.2391 0.7339
S 0.4215 0.0831 0.2658
S 0.5785 0.9169 0.7342
S 0.7609 0.7609 0.2661
S 0.9169 0.5785 0.7342

Peak list (6 most intense, 5° ≤ 2θ ≤ 70°, by angle)
d/Å  two_theta  Rel. int.
6.720  13.17  82
3.480  25.60  47
3.334  26.74  33
2.893  30.91  100
2.052  44.14  36
2.040  44.41  36


What did the first record say?
For NaPb3S, DFT lattice parameters and positions (PBE) gives the calculated powder diffraction line list in this record (Cu Kα, 1.54184 Å).
Neutral-atom scattering factors, no anomalous dispersion.

Structural model:
Lattice parameters (Å, degrees): 5.6084 5.6084 5.6084 90.00 90.00 90.00
Sites, in units of the cell vectors:
Na 0.0000 0.0000 0.0000
Pb 0.0000 0.5000 0.5000
Pb 0.5000 0.0000 0.5000
Pb 0.5000 0.5000 0.0000
S 0.5000 0.5000 0.5000

Peak list (6 most intense, 5° ≤ 2θ ≤ 70°, by angle)
d/Å  two_theta  Rel. int.
5.608  15.80  35
3.238  27.55  100
2.804  31.91  64
2.508  35.80  19
1.983  45.76  48
1.691  54.25  48